Computed powder XRD pattern of NaP2W7O25 for Cu Kα X-rays, from a GGA+U-relaxed structure.

Structure:
Cell lengths 5.3828, 6.7472, 14.0351 Å; angles 95.92, 100.76, 90.31 degrees
Sites, in units of the cell vectors:
Na (0.0000, 0.0000, 0.0000)
P (0.5172, 0.8038, 0.0826)
P (0.8793, 0.4030, 0.9130)
W (0.0374, 0.5268, 0.1585)
W (0.1367, 0.9215, 0.3838)
W (0.2482, 0.3081, 0.6082)
W (0.3544, 0.6911, 0.8360)
W (0.5809, 0.2204, 0.2653)
W (0.6912, 0.6092, 0.4934)
W (0.7966, 0.0014, 0.7224)
O (0.0784, 0.5433, 0.8878)
O (0.0940, 0.7072, 0.2669)
O (0.1113, 0.8745, 0.7947)
O (0.1877, 0.1049, 0.4944)
O (0.2640, 0.3184, 0.2049)
O (0.2931, 0.5169, 0.7265)
O (0.3436, 0.6481, 0.1096)
O (0.3878, 0.7417, 0.4482)
O (0.4000, 0.0373, 0.3291)
O (0.4117, 0.8450, 0.9739)
O (0.5005, 0.1291, 0.6853)
O (0.5041, 0.4309, 0.5648)
O (0.5108, 0.0065, 0.1421)
O (0.6165, 0.4982, 0.8986)
O (0.6191, 0.8343, 0.8048)
O (0.6273, 0.4083, 0.3719)
O (0.7578, 0.8064, 0.6198)
O (0.7592, 0.3757, 0.1917)
O (0.7941, 0.7363, 0.0869)
O (0.8693, 0.1948, 0.8555)
O (0.8823, 0.7826, 0.4265)
O (0.8879, 0.0761, 0.3083)
O (0.9595, 0.3619, 0.0217)
O (0.9845, 0.4722, 0.5425)
O (0.9963, 0.1731, 0.6706)

Most intense lines, 2θ = 15–90°, sorted by position:
(0 1 2), 2θ 19.5, intensity 44
(1 -1 1), 2θ 22.6, intensity 90
(1 1 -2), 2θ 22.8, intensity 100
(0 1 3), 2θ 24.7, intensity 76
(2 0 -1), 2θ 33.3, intensity 31
(1 0 4), 2θ 33.7, intensity 36
(1 0 -5), 2θ 33.9, intensity 42
(-1 3 4), 2θ 52.0, intensity 22